No. 1
Diffraction record for InNiHg. The X-ray diffraction stick pattern is computed, not measured: it uses a cell relaxed with GGA-PBE and Cu Kα X-rays.

The 6 most intense peaks (2θ from 10° to 90°), sorted by position:
| 2theta | d/Å | I (rel.) |
| --- | --- | --- |
| 27.65 | 3.227 | 72 |
| 28.59 | 3.123 | 71 |
| 32.24 | 2.777 | 76 |
| 37.55 | 2.395 | 84 |
| 40.19 | 2.244 | 100 |
| 40.52 | 2.226 | 66 |

Structural model:
```
data_InNiHg
_chemical_formula_sum 'In4 Ni4 Hg4'
_symmetry_space_group_name_H-M 'P 1 21 1'
_symmetry_Int_Tables_number 4
_symmetry_space_group_name_Hall 'P 2yb'
_cell_length_a 6.4054
_cell_length_b 6.4531
_cell_length_c 6.5016
_cell_angle_alpha 90.00
_cell_angle_beta 106.16
_cell_angle_gamma 90.00
loop_
_atom_site_label
_atom_site_fract_x
_atom_site_fract_y
_atom_site_fract_z
_atom_site_occupancy
In1 0.0496 0.0000 0.4310 1
In2 0.4274 0.5620 0.4775 1
Ni1 0.2948 0.2694 0.6818 1
Ni2 0.3041 0.8586 0.2059 1
Hg1 0.0488 0.1218 0.9432 1
Hg2 0.4360 0.5669 0.9803 1
```

No. 2
Diffraction record for NpIn2Hg4. The X-ray diffraction stick pattern is computed, not measured: it uses a cell relaxed with GGA-PBE and Cu Kα X-rays.

The 6 most intense peaks (2θ from 10° to 90°), sorted by position:
| 2theta | d/Å | I (rel.) |
| --- | --- | --- |
| 27.97 | 3.190 | 13 |
| 35.29 | 2.543 | 100 |
| 35.80 | 2.508 | 50 |
| 51.53 | 1.774 | 18 |
| 63.01 | 1.475 | 16 |
| 64.00 | 1.455 | 36 |

Structural model:
```
data_NpIn2Hg4
_chemical_formula_sum 'Np1 In2 Hg4'
_symmetry_space_group_name_H-M 'P 4/m m m'
_symmetry_Int_Tables_number 123
_symmetry_space_group_name_Hall '-P 4 2'
_cell_length_a 5.0162
_cell_length_b 5.0162
_cell_length_c 7.2968
_cell_angle_alpha 90.00
_cell_angle_beta 90.00
_cell_angle_gamma 90.00
loop_
_atom_site_label
_atom_site_fract_x
_atom_site_fract_y
_atom_site_fract_z
_atom_site_occupancy
Np1 0.0000 0.0000 0.0000 1
In1 0.0000 0.0000 0.5000 1
In2 0.5000 0.5000 0.0000 1
Hg1 0.0000 0.5000 0.2712 1
```